Diffraction record for CsCrPbF6. The powder diffraction line list is simulated, not measured: it uses a structure optimized by DFT (GGA+U) and Cu Kα (λ = 1.5418 Å).
No peak broadening, texture or thermal motion is included.

Crystal structure
abc: 7.7714 7.7714 7.7714
angles: 120.71 115.65 93.23
Fractional coordinates of all 18 atoms:
Cs  0.3495  0.0995  0.2500
Cs  0.6505  0.9005  0.7500
Cr  0.0000  0.0000  0.5000
Cr  0.0000  0.5000  0.0000
Pb  0.0000  0.5000  0.5000
Pb  0.5000  0.5000  0.0000
F  0.0376  0.3490  0.1419
F  0.0376  0.8957  0.6887
F  0.0417  0.2917  0.7500
F  0.2929  0.1043  0.6419
F  0.2929  0.6510  0.1887
F  0.3668  0.6168  0.7500
F  0.6332  0.3832  0.2500
F  0.7071  0.3490  0.8113
F  0.7071  0.8957  0.3581
F  0.9583  0.7083  0.2500
F  0.9624  0.1043  0.3113
F  0.9624  0.6510  0.8581

Most intense lines, 2θ from 5° to 70°, in order of falling intensity:
two_theta, I_rel
25.8, 1000
27.3, 474
46.9, 406
28.6, 380
42.3, 307
14.2, 283
26.9, 265
27.6, 263